# V4Cr2Fe
Calculated powder diffractogram, Cu Kα. Input: a crystal structure in Alexandria, relaxed with PBE.
Kinematic intensities with the Lorentz-polarization factor, no thermal factor.

```
data_V4Cr2Fe
_chemical_formula_sum 'V4 Cr2 Fe1'
_space_group_name_H-M_alt 'P 1'
_space_group_IT_number 1
_cell_length_a 4.9419
_cell_length_b 4.9419
_cell_length_c 4.9419
_cell_angle_alpha 109.85
_cell_angle_beta 109.85
_cell_angle_gamma 108.72
loop_
_space_group_symop_operation_xyz
'x,y,z'
loop_
_atom_site_label
_atom_site_fract_x
_atom_site_fract_y
_atom_site_fract_z
_atom_site_occupancy
V1 0.0000 0.0000 0.5000 1
V2 0.0000 0.5000 0.0000 1
V3 0.5000 0.0000 0.0000 1
V4 0.5000 0.5000 0.5000 1
Cr1 0.0000 0.5000 0.5000 1
Cr2 0.5000 0.0000 0.5000 1
Fe1 0.0000 0.0000 0.0000 1
```

The 8 most intense peaks (2θ = 15–90°), low angle first:
- 21.98 deg, I = 19
- 38.74 deg, I = 8
- 44.82 deg, I = 100
- 45.15 deg, I = 49
- 64.75 deg, I = 7
- 65.76 deg, I = 14
- 82.42 deg, I = 14
- 83.12 deg, I = 28